Ba3TiAs4: theoretical X-ray diffraction stick pattern (λ = 1.5418 Å (Cu Kα)), based on a PBE-relaxed structure.

Cell and atoms:
a b c (Å): 8.9769 11.1018 10.2095
angles (deg): 90.00 90.00 90.00
Space group Pnma (No. 62)
One atom of each set of equivalent atoms:
Ba 0.0442 0.0484 0.1901
Ba 0.1617 0.7500 0.4131
Ti 0.2335 0.2500 0.4618
As 0.0303 0.7500 0.0789
As 0.1242 0.0448 0.5304
As 0.2042 0.7500 0.7332

Main lines, in order of falling intensity (2θ = 10–80°):
- hkl 2 2 0, 2θ 25.55, I = 100
- hkl 2 3 0, 2θ 31.33, I = 84
- hkl 0 1 3, 2θ 27.43, I = 84
- hkl 1 2 3, 2θ 32.43, I = 73
- hkl 3 0 1, 2θ 31.15, I = 68
- hkl 2 2 3, 2θ 36.89, I = 65
- hkl 1 0 3, 2θ 28.04, I = 64
- hkl 0 4 0, 2θ 32.25, I = 57

Ba3YAs3: theoretical X-ray diffraction stick pattern (λ = 1.5418 Å (Cu Kα)), based on a PBE-relaxed structure.

Cell and atoms:
a b c (Å): 9.5946 8.3637 13.3548
angles (deg): 90.00 94.47 90.00
Space group P2_1/c (No. 14)
One atom of each set of equivalent atoms:
Ba 0.0817 0.1575 0.1358
Ba 0.3353 0.7349 0.7982
Ba 0.3953 0.2319 0.9237
Y 0.1634 0.5953 0.0572
As 0.1017 0.0430 0.3682
As 0.2645 0.6023 0.5186
As 0.3641 0.0814 0.6681

Main lines, in order of falling intensity (2θ = 10–80°):
- hkl 0 1 4, 2θ 28.87, I = 100
- hkl 2 2 -2, 2θ 30.79, I = 87
- hkl 1 3 2, 2θ 36.45, I = 70
- hkl 1 1 -4, 2θ 29.71, I = 68
- hkl 3 1 0, 2θ 29.99, I = 59
- hkl 4 1 -4, 2θ 46.28, I = 45
- hkl 2 1 -2, 2θ 24.49, I = 41
- hkl 1 2 1, 2θ 24.37, I = 40

BaY2As: theoretical X-ray diffraction stick pattern (λ = 1.5418 Å (Cu Kα)), based on a PBE-relaxed structure.

Cell and atoms:
a b c (Å): 3.9566 3.9566 8.4817
angles (deg): 90.00 90.00 90.00
Space group P4mm (No. 99)
One atom of each set of equivalent atoms:
Ba 0.0000 0.0000 0.0000
Y 0.0000 0.0000 0.6011
Y 0.5000 0.5000 0.3548
As 0.5000 0.5000 0.7111

Main lines, in order of falling intensity (2θ = 10–80°):
- hkl 1 0 2, 2θ 30.91, I = 100
- hkl 1 1 0, 2θ 31.99, I = 85
- hkl 1 0 1, 2θ 24.83, I = 43
- hkl 1 1 3, 2θ 45.62, I = 36
- hkl 2 1 2, 2θ 56.34, I = 35
- hkl 2 0 0, 2θ 45.87, I = 31
- hkl 0 0 3, 2θ 31.65, I = 25
- hkl 1 0 3, 2θ 39.16, I = 21

BeAs5: theoretical X-ray diffraction stick pattern (λ = 1.5418 Å (Cu Kα)), based on a PBE-relaxed structure.

Cell and atoms:
a b c (Å): 11.3766 3.6924 6.5801
angles (deg): 90.00 91.77 90.00
Space group Cm (No. 8)
One atom of each set of equivalent atoms:
Be 0.0000 0.0000 0.0000
As 0.0057 0.0000 0.3559
As 0.1087 0.5000 0.8662
As 0.1597 0.5000 0.2367
As 0.3482 0.0000 0.2344
As 0.3874 0.0000 0.8642

Main lines, in order of falling intensity (2θ = 10–80°):
- hkl 3 1 0, 2θ 33.90, I = 100
- hkl 0 0 1, 2θ 13.46, I = 68
- hkl 0 0 2, 2θ 27.12, I = 60
- hkl 1 1 -1, 2θ 28.70, I = 29
- hkl 1 1 0, 2θ 25.36, I = 28
- hkl 1 1 1, 2θ 28.94, I = 28
- hkl 0 2 0, 2θ 49.37, I = 27
- hkl 1 1 -3, 2θ 48.75, I = 27

Be5As: theoretical X-ray diffraction stick pattern (λ = 1.5418 Å (Cu Kα)), based on a PBE-relaxed structure.

Cell and atoms:
a b c (Å): 4.4564 4.4564 3.6217
angles (deg): 90.00 90.00 120.00
Space group P6/mmm (No. 191)
One atom of each set of equivalent atoms:
Be 0.0000 0.5000 0.0000
Be 0.3333 0.6667 0.5000
As 0.0000 0.0000 0.5000

Main lines, in order of falling intensity (2θ = 10–80°):
- hkl 1 0 1, 2θ 33.94, I = 100
- hkl 1 0 0, 2θ 23.05, I = 91
- hkl 1 1 1, 2θ 47.94, I = 56
- hkl 1 1 0, 2θ 40.48, I = 35
- hkl 0 0 1, 2θ 24.58, I = 32
- hkl 2 0 0, 2θ 47.10, I = 26
- hkl 2 1 1, 2θ 69.47, I = 24
- hkl 1 0 2, 2θ 56.10, I = 17

Be6As7: theoretical X-ray diffraction stick pattern (λ = 1.5418 Å (Cu Kα)), based on a PBE-relaxed structure.

Cell and atoms:
a b c (Å): 6.0502 6.0502 20.7791
angles (deg): 90.00 90.00 120.00
Space group R-3m (No. 166, hexagonal axes)
One atom of each set of equivalent atoms:
Be 0.0000 0.0000 0.0534
Be 0.0000 0.0000 0.1640
Be 0.0000 0.0000 0.3424
As 0.0000 0.0000 0.5000
As 0.0280 0.5140 0.9199

Main lines, in order of falling intensity (2θ = 10–80°):
- hkl 1 0 1, 2θ 17.46, I = 100
- hkl 2 0 5, 2θ 40.71, I = 74
- hkl 0 2 7, 2θ 46.22, I = 66
- hkl 0 2 1, 2θ 34.51, I = 64
- hkl 0 0 6, 2θ 25.72, I = 57
- hkl 2 0 2, 2θ 35.33, I = 56
- hkl 1 0 4, 2θ 24.12, I = 49
- hkl 1 1 6, 2θ 39.56, I = 46

BeAs8: theoretical X-ray diffraction stick pattern (λ = 1.5418 Å (Cu Kα)), based on a PBE-relaxed structure.

Cell and atoms:
a b c (Å): 10.5139 10.5139 3.3363
angles (deg): 90.00 90.00 90.00
Space group I4/mmm (No. 139)
One atom of each set of equivalent atoms:
Be 0.0000 0.0000 0.0000
As 0.0000 0.3540 0.0000
As 0.1230 0.1230 0.5000

Main lines, in order of falling intensity (2θ = 10–80°):
- hkl 3 0 1, 2θ 37.21, I = 100
- hkl 3 3 0, 2θ 36.25, I = 39
- hkl 5 0 1, 2θ 51.36, I = 36
- hkl 2 0 0, 2θ 16.87, I = 24
- hkl 1 0 1, 2θ 28.06, I = 19
- hkl 4 0 0, 2θ 34.11, I = 19
- hkl 2 1 1, 2θ 32.92, I = 19
- hkl 5 4 1, 2θ 63.11, I = 18

BeBi2AsO: theoretical X-ray diffraction stick pattern (λ = 1.5418 Å (Cu Kα)), based on a PBE-relaxed structure.

Cell and atoms:
a b c (Å): 5.1563 5.1563 4.0740
angles (deg): 90.00 90.00 90.00
Space group P4/mmm (No. 123)
One atom of each set of equivalent atoms:
Be 0.0000 0.0000 0.0000
Bi 0.0000 0.5000 0.0000
As 0.0000 0.0000 0.5000
O 0.5000 0.5000 0.5000

Main lines, in order of falling intensity (2θ = 10–80°):
- hkl 1 1 1, 2θ 32.97, I = 100
- hkl 2 0 0, 2θ 34.80, I = 46
- hkl 1 1 0, 2θ 24.41, I = 40
- hkl 3 1 1, 2θ 61.23, I = 34
- hkl 0 0 1, 2θ 21.82, I = 28
- hkl 2 0 1, 2θ 41.45, I = 23
- hkl 2 0 2, 2θ 57.68, I = 22
- hkl 1 1 3, 2θ 74.56, I = 18

BeSbAs2Br: theoretical X-ray diffraction stick pattern (λ = 1.5418 Å (Cu Kα)), based on a PBE-relaxed structure.

Cell and atoms:
a b c (Å): 4.7322 4.7322 4.6294
angles (deg): 90.00 90.00 90.00
Space group P4/mmm (No. 123)
One atom of each set of equivalent atoms:
Be 0.0000 0.0000 0.0000
Sb 0.5000 0.5000 0.5000
As 0.0000 0.5000 0.0000
Br 0.0000 0.0000 0.5000

Main lines, in order of falling intensity (2θ = 10–80°):
- hkl 1 1 1, 2θ 33.03, I = 100
- hkl 2 0 0, 2θ 38.03, I = 36
- hkl 3 1 1, 2θ 65.56, I = 27
- hkl 2 0 2, 2θ 55.54, I = 24
- hkl 0 0 2, 2θ 38.91, I = 17
- hkl 1 1 3, 2θ 66.75, I = 13
- hkl 2 2 0, 2θ 54.87, I = 12
- hkl 2 2 2, 2θ 69.30, I = 12

Ca4BeAs4: theoretical X-ray diffraction stick pattern (λ = 1.5418 Å (Cu Kα)), based on a PBE-relaxed structure.

Cell and atoms:
a b c (Å): 8.4680 8.4680 6.1064
angles (deg): 90.00 90.00 90.00
Space group P4_2/nmc (No. 137, origin choice 2)
One atom of each set of equivalent atoms:
Ca 0.0147 0.2500 0.0536
Be 0.2500 0.7500 0.2500
As 0.0185 0.7500 0.4518

Main lines, in order of falling intensity (2θ = 10–80°):
- hkl 2 2 0, 2θ 29.84, I = 100
- hkl 2 2 2, 2θ 42.28, I = 52
- hkl 4 0 0, 2θ 42.71, I = 36
- hkl 0 0 2, 2θ 29.25, I = 36
- hkl 4 0 2, 2θ 52.61, I = 24
- hkl 2 0 1, 2θ 25.60, I = 23
- hkl 2 1 2, 2θ 37.85, I = 20
- hkl 6 2 2, 2θ 77.93, I = 17

CaBe3As3: theoretical X-ray diffraction stick pattern (λ = 1.5418 Å (Cu Kα)), based on a PBE-relaxed structure.

Cell and atoms:
a b c (Å): 8.9802 8.9802 3.8524
angles (deg): 90.00 90.00 120.00
Space group P6_3/m (No. 176)
One atom of each set of equivalent atoms:
Ca 0.3333 0.6667 0.2500
Be 0.0533 0.4091 0.7500
As 0.0911 0.6977 0.7500

Main lines, in order of falling intensity (2θ = 10–80°):
- hkl 1 1 1, 2θ 30.58, I = 100
- hkl 2 1 0, 2θ 30.41, I = 87
- hkl 2 0 1, 2θ 32.72, I = 80
- hkl 1 0 0, 2θ 11.38, I = 59
- hkl 3 2 1, 2θ 56.87, I = 46
- hkl 1 2 1, 2θ 38.52, I = 42
- hkl 3 0 0, 2θ 34.60, I = 34
- hkl 2 1 2, 2θ 57.18, I = 29

Be2CdAs: theoretical X-ray diffraction stick pattern (λ = 1.5418 Å (Cu Kα)), based on a PBE-relaxed structure.

Cell and atoms:
a b c (Å): 3.2964 3.3288 11.3804
angles (deg): 90.00 90.00 90.00
Space group Imm2 (No. 44)
One atom of each set of equivalent atoms:
Be 0.0000 0.0000 0.0000
Be 0.0000 0.5000 0.3601
Cd 0.0000 0.5000 0.7316
As 0.0000 0.0000 0.5056

Main lines, in order of falling intensity (2θ = 10–80°):
- hkl 1 1 2, 2θ 41.70, I = 100
- hkl 1 0 1, 2θ 28.18, I = 77
- hkl 0 1 1, 2θ 27.93, I = 55
- hkl 0 1 3, 2θ 35.89, I = 55
- hkl 0 0 4, 2θ 31.44, I = 48
- hkl 1 1 6, 2θ 63.08, I = 38
- hkl 1 0 5, 2θ 48.61, I = 25
- hkl 1 0 3, 2θ 36.10, I = 22

NaBeCdAs2: theoretical X-ray diffraction stick pattern (λ = 1.5418 Å (Cu Kα)), based on a PBE-relaxed structure.

Cell and atoms:
a b c (Å): 12.8046 4.0765 8.6394
angles (deg): 90.00 108.90 90.00
Space group C2/m (No. 12)
One atom of each set of equivalent atoms:
Na 0.2023 0.0000 0.1534
Be 0.0651 0.0000 0.7843
Cd 0.1206 0.5000 0.4111
As 0.0478 0.5000 0.8921
As 0.1633 0.0000 0.6194

Main lines, in order of falling intensity (2θ = 10–80°):
- hkl 1 1 2, 2θ 33.53, I = 100
- hkl 0 0 1, 2θ 10.82, I = 76
- hkl 4 0 -2, 2θ 30.53, I = 71
- hkl 1 1 0, 2θ 23.02, I = 50
- hkl 1 1 -2, 2θ 30.13, I = 44
- hkl 1 1 3, 2θ 42.51, I = 43
- hkl 3 1 -2, 2θ 33.79, I = 38
- hkl 0 2 0, 2θ 44.45, I = 36